HoSbP: computed X-ray powder pattern (Cu Kα, 1.54184 Å), based on a GGA-PBE-relaxed structure.
No peak broadening, texture or thermal motion is included.

The 12 most intense peaks (2θ = 10–90°), sorted by position:
d 3.886, intensity 100, hkl 0 1 2; d 3.193, intensity 44, hkl 0 1 5; d 2.853, intensity 19, hkl 0 0 9; d 2.727, intensity 100, hkl 1 0 7; d 2.522, intensity 22, hkl 0 1 8; d 2.354, intensity 92, hkl 1 1 0; d 2.013, intensity 17, hkl 2 0 2; d 1.816, intensity 31, hkl 1 1 9; d 1.782, intensity 28, hkl 0 2 7; d 1.673, intensity 16, hkl 0 1 14; d 1.583, intensity 17, hkl 1 1 12; d 1.421, intensity 27, hkl 2 1 7

Crystal structure
Unit cell a=4.7077 b=4.7077 c=25.6792 alpha=90.00 beta=90.00 gamma=120.00
Space group R-3m (No. 166, hexagonal axes)
Unique sites:
Ho 0.0000 0.0000 0.2210 x6
Sb 0.0000 0.0000 0.3614 x6
P 0.0000 0.0000 0.1138 x6



Ho4ScP5: computed X-ray powder pattern (Cu Kα, 1.54184 Å), based on a GGA-PBE-relaxed structure.
No peak broadening, texture or thermal motion is included.

The 12 most intense peaks (2θ = 10–90°), sorted by position:
d 6.234, intensity 8, hkl 1 1 0; d 4.720, intensity 9, hkl 1 0 1; d 3.222, intensity 80, hkl 2 1 1; d 2.790, intensity 100, hkl 0 0 2; d 1.973, intensity 73, hkl 4 2 0; d 1.683, intensity 38, hkl 5 0 1; d 1.611, intensity 25, hkl 4 2 2; d 1.280, intensity 15, hkl 6 3 1; d 1.249, intensity 11, hkl 1 3 4; d 1.247, intensity 21, hkl 7 1 0; d 1.140, intensity 8, hkl 4 2 4; d 1.139, intensity 16, hkl 7 1 2

Crystal structure
Unit cell a=8.8164 b=8.8164 c=5.5887 alpha=90.00 beta=90.00 gamma=90.00
Space group I4/m (No. 87)
Unique sites:
Ho 0.0981 0.2997 0.0000 x8
Sc 0.0000 0.0000 0.5000 x2
P 0.0000 0.0000 0.0000 x2
P 0.0978 0.2932 0.5000 x8



HoP2Se6: computed X-ray powder pattern (Cu Kα, 1.54184 Å), based on a GGA-PBE-relaxed structure.
No peak broadening, texture or thermal motion is included.

The 12 most intense peaks (2θ = 10–90°), sorted by position:
d 7.496, intensity 34, hkl 0 0 3; d 5.558, intensity 27, hkl 1 0 1; d 5.109, intensity 20, hkl 0 1 2; d 4.015, intensity 12, hkl 1 0 4; d 3.748, intensity 17, hkl 0 0 6; d 3.029, intensity 100, hkl 1 1 3; d 2.482, intensity 41, hkl 1 1 6; d 1.995, intensity 27, hkl 2 -1 9; d 1.912, intensity 30, hkl 3 0 0; d 1.617, intensity 14, hkl 4 -2 3; d 1.338, intensity 13, hkl 3 0 12; d 1.235, intensity 11, hkl 4 1 3

Crystal structure
Unit cell a=6.6233 b=6.6233 c=22.4869 alpha=90.00 beta=90.00 gamma=120.00
Space group R3 (No. 146, hexagonal axes)
Unique sites:
Ho 0.0000 0.0000 0.0000 x3
P 0.0000 0.0000 0.6161 x3
P 0.0000 0.0000 0.7183 x3
Se 0.0093 0.6514 0.4151 x9
Se 0.0106 0.3219 0.5860 x9



Ho4P3Se: computed X-ray powder pattern (Cu Kα, 1.54184 Å), based on a GGA-PBE-relaxed structure.
No peak broadening, texture or thermal motion is included.

The 12 most intense peaks (2θ = 10–90°), sorted by position:
d 3.268, intensity 64, hkl 1 1 2; d 3.140, intensity 2, hkl 1 0 3; d 2.830, intensity 100, hkl 2 0 0; d 2.102, intensity 2, hkl 2 1 3; d 2.001, intensity 73, hkl 2 2 0; d 1.707, intensity 31, hkl 3 1 2; d 1.634, intensity 25, hkl 2 2 4; d 1.415, intensity 12, hkl 4 0 0; d 1.363, intensity 1, hkl 2 1 7; d 1.299, intensity 12, hkl 3 3 2; d 1.266, intensity 32, hkl 4 2 0; d 1.155, intensity 25, hkl 4 2 4

Crystal structure
Unit cell a=5.6603 b=5.6603 c=11.3227 alpha=90.00 beta=90.00 gamma=90.00
Space group I4/mmm (No. 139)
Unique sites:
Ho 0.0000 0.0000 0.2426 x4
Ho 0.0000 0.5000 0.0000 x4
P 0.0000 0.0000 0.0000 x2
P 0.0000 0.5000 0.2500 x4
Se 0.0000 0.0000 0.5000 x2



Ho8SiP3Se4: computed X-ray powder pattern (Cu Kα, 1.54184 Å), based on a GGA-PBE-relaxed structure.
No peak broadening, texture or thermal motion is included.

The 12 most intense peaks (2θ = 10–90°), sorted by position:
d 3.337, intensity 11, hkl 0 0 6; d 3.292, intensity 35, hkl 2 0 2; d 2.861, intensity 100, hkl 0 2 4; d 2.033, intensity 35, hkl 2 0 8; d 2.013, intensity 37, hkl 2 2 0; d 1.724, intensity 11, hkl 2 2 6; d 1.646, intensity 19, hkl 4 0 4; d 1.430, intensity 11, hkl 0 4 8; d 1.285, intensity 14, hkl 2 2 12; d 1.274, intensity 16, hkl 2 4 4; d 1.166, intensity 12, hkl 4 2 8; d 1.162, intensity 6, hkl 6 0 0

Crystal structure
Unit cell a=8.0514 b=8.0514 c=20.0222 alpha=90.00 beta=90.00 gamma=120.00
Space group R-3m (No. 166, hexagonal axes)
Unique sites:
Ho 0.0000 0.0000 0.2426 x6
Ho 0.9996 0.4998 0.2435 x18
Si 0.0000 0.0000 0.5000 x3
P 0.0000 0.5000 0.5000 x9
Se 0.0000 0.0000 0.0000 x3
Se 0.0000 0.5000 0.0000 x9



Sm4HoP5: computed X-ray powder pattern (Cu Kα, 1.54184 Å), based on a GGA-PBE-relaxed structure.
No peak broadening, texture or thermal motion is included.

The 10 most intense peaks (2θ = 10–90°), sorted by position:
d 3.335, intensity 83, hkl 2 1 1; d 2.888, intensity 100, hkl 1 3 0; d 2.042, intensity 73, hkl 4 2 0; d 1.742, intensity 41, hkl 5 0 1; d 1.668, intensity 26, hkl 4 2 2; d 1.444, intensity 12, hkl 2 6 0; d 1.325, intensity 17, hkl 6 3 1; d 1.292, intensity 33, hkl 7 1 0; d 1.179, intensity 25, hkl 7 1 2; d 1.112, intensity 13, hkl 6 3 3

Crystal structure
Unit cell a=9.1328 b=9.1328 c=5.7778 alpha=90.00 beta=90.00 gamma=90.00
Space group I4/m (No. 87)
Unique sites:
Sm 0.0991 0.2998 0.0000 x8
Ho 0.0000 0.0000 0.5000 x2
P 0.0000 0.0000 0.0000 x2
P 0.0988 0.2963 0.5000 x8



SmHo5P6: computed X-ray powder pattern (Cu Kα, 1.54184 Å), based on a GGA-PBE-relaxed structure.
No peak broadening, texture or thermal motion is included.

The 10 most intense peaks (2θ = 10–90°), sorted by position:
d 3.273, intensity 88, hkl 2 0 0; d 2.834, intensity 100, hkl 1 3 1; d 2.004, intensity 73, hkl 2 0 2; d 1.709, intensity 43, hkl 3 3 1; d 1.636, intensity 26, hkl 4 0 0; d 1.417, intensity 12, hkl 2 6 2; d 1.300, intensity 17, hkl 4 0 2; d 1.267, intensity 33, hkl 4 6 0; d 1.157, intensity 25, hkl 5 3 1; d 1.091, intensity 14, hkl 6 0 0

Crystal structure
Unit cell a=6.9443 b=12.0232 c=6.9419 alpha=90.00 beta=109.49 gamma=90.00
Space group C2/m (No. 12)
Unique sites:
Sm 0.0000 0.0000 0.0000 x2
Ho 0.0000 0.1659 0.5000 x4
Ho 0.0000 0.3331 0.0000 x4
Ho 0.0000 0.5000 0.5000 x2
P 0.2472 0.3314 0.7474 x8
P 0.2467 0.5000 0.2521 x4



TbSmHo2P4: computed X-ray powder pattern (Cu Kα, 1.54184 Å), based on a GGA-PBE-relaxed structure.
No peak broadening, texture or thermal motion is included.

The 10 most intense peaks (2θ = 10–90°), sorted by position:
d 3.289, intensity 86, hkl 2 0 0; d 2.848, intensity 100, hkl 1 1 1; d 2.014, intensity 73, hkl 2 0 2; d 1.718, intensity 42, hkl 3 1 1; d 1.644, intensity 26, hkl 0 0 4; d 1.424, intensity 12, hkl 2 2 2; d 1.307, intensity 17, hkl 4 0 2; d 1.274, intensity 33, hkl 1 3 1; d 1.163, intensity 25, hkl 1 1 5; d 1.096, intensity 14, hkl 6 0 0

Crystal structure
Unit cell a=6.9745 b=4.0294 c=6.9758 alpha=90.00 beta=109.47 gamma=90.00
Space group P2/m (No. 10)
Unique sites:
Tb 0.0000 0.0000 0.0000 x1
Sm 0.0000 0.5000 0.5000 x1
Ho 0.5000 0.0000 0.5000 x1
Ho 0.5000 0.5000 0.0000 x1
P 0.2542 0.5000 0.2493 x2
P 0.2557 0.0000 0.7541 x2



SmYHo2P4: computed X-ray powder pattern (Cu Kα, 1.54184 Å), based on a GGA-PBE-relaxed structure.
No peak broadening, texture or thermal motion is included.

The 12 most intense peaks (2θ = 10–90°), sorted by position:
d 6.571, intensity 5, hkl 0 0 1; d 3.432, intensity 3, hkl 1 1 0; d 3.286, intensity 79, hkl 2 0 0; d 2.846, intensity 100, hkl 1 1 1; d 2.012, intensity 73, hkl 2 0 2; d 1.716, intensity 38, hkl 3 1 1; d 1.643, intensity 25, hkl 4 0 0; d 1.423, intensity 12, hkl 2 2 2; d 1.306, intensity 15, hkl 4 0 2; d 1.273, intensity 32, hkl 4 2 0; d 1.162, intensity 25, hkl 6 0 -2; d 1.095, intensity 12, hkl 0 0 6

Crystal structure
Unit cell a=6.9693 b=4.0259 c=6.9695 alpha=90.00 beta=109.47 gamma=90.00
Space group P2/m (No. 10)
Unique sites:
Sm 0.0000 0.0000 0.0000 x1
Y 0.5000 0.5000 0.0000 x1
Ho 0.0000 0.5000 0.5000 x1
Ho 0.5000 0.0000 0.5000 x1
P 0.2512 0.0000 0.7463 x2
P 0.2542 0.5000 0.2556 x2



HoThP2: computed X-ray powder pattern (Cu Kα, 1.54184 Å), based on a GGA-PBE-relaxed structure.
No peak broadening, texture or thermal motion is included.

The 12 most intense peaks (2θ = 10–90°), sorted by position:
d 3.327, intensity 75, hkl 0 1 2; d 3.299, intensity 25, hkl 0 0 6; d 2.875, intensity 100, hkl 1 0 4; d 2.039, intensity 38, hkl 1 1 0; d 2.027, intensity 37, hkl 0 1 8; d 1.739, intensity 13, hkl 2 0 2; d 1.735, intensity 25, hkl 1 1 6; d 1.727, intensity 12, hkl 1 0 10; d 1.663, intensity 20, hkl 0 2 4; d 1.289, intensity 17, hkl 2 1 4; d 1.283, intensity 17, hkl 1 1 12; d 1.175, intensity 13, hkl 1 2 8

Crystal structure
Unit cell a=4.0787 b=4.0787 c=19.7952 alpha=90.00 beta=90.00 gamma=120.00
Space group R-3m (No. 166, hexagonal axes)
Unique sites:
Ho 0.0000 0.0000 0.0000 x3
Th 0.0000 0.0000 0.5000 x3
P 0.0000 0.0000 0.2529 x6



Ho4TmP5: computed X-ray powder pattern (Cu Kα, 1.54184 Å), based on a GGA-PBE-relaxed structure.
No peak broadening, texture or thermal motion is included.

The 9 most intense peaks (2θ = 10–90°), sorted by position:
d 3.250, intensity 89, hkl 2 1 1; d 2.814, intensity 100, hkl 1 3 0; d 1.990, intensity 73, hkl 4 2 0; d 1.697, intensity 43, hkl 5 0 1; d 1.625, intensity 25, hkl 4 2 2; d 1.407, intensity 12, hkl 2 6 0; d 1.291, intensity 17, hkl 6 3 1; d 1.259, intensity 33, hkl 7 1 0; d 1.149, intensity 25, hkl 7 1 2

Crystal structure
Unit cell a=8.8995 b=8.8995 c=5.6286 alpha=90.00 beta=90.00 gamma=90.00
Space group I4/m (No. 87)
Unique sites:
Ho 0.0997 0.2999 0.0000 x8
Tm 0.0000 0.0000 0.5000 x2
P 0.0000 0.0000 0.0000 x2
P 0.0997 0.2988 0.5000 x8



HoU4P5: computed X-ray powder pattern (Cu Kα, 1.54184 Å), based on a GGA-PBE-relaxed structure.
No peak broadening, texture or thermal motion is included.

The 12 most intense peaks (2θ = 10–90°), sorted by position:
d 3.231, intensity 54, hkl 0 1 5; d 3.211, intensity 53, hkl 1 1 0; d 2.789, intensity 100, hkl 1 0 5; d 1.983, intensity 13, hkl 0 0 10; d 1.972, intensity 49, hkl 1 2 5; d 1.965, intensity 12, hkl 2 0 0; d 1.687, intensity 18, hkl 1 1 10; d 1.680, intensity 26, hkl 2 1 5; d 1.615, intensity 13, hkl 0 2 10; d 1.605, intensity 13, hkl 2 2 0; d 1.248, intensity 12, hkl 2 2 10; d 1.136, intensity 14, hkl 3 2 5

Crystal structure
Unit cell a=3.9298 b=5.5692 c=19.8334 alpha=90.00 beta=90.00 gamma=90.00
Space group Immm (No. 71)
Unique sites:
Ho 0.0000 0.0000 0.0000 x2
U 0.0000 0.0000 0.2010 x4
U 0.0000 0.0000 0.4002 x4
P 0.0000 0.5000 0.0000 x2
P 0.0000 0.5000 0.1992 x4
P 0.0000 0.5000 0.3987 x4



YHo4P5: computed X-ray powder pattern (Cu Kα, 1.54184 Å), based on a GGA-PBE-relaxed structure.
No peak broadening, texture or thermal motion is included.

The 12 most intense peaks (2θ = 10–90°), sorted by position:
d 6.314, intensity 3, hkl 1 1 0; d 4.773, intensity 3, hkl 1 0 1; d 4.465, intensity 1, hkl 2 0 0; d 3.260, intensity 83, hkl 2 1 1; d 2.824, intensity 100, hkl 1 3 0; d 1.997, intensity 73, hkl 4 2 0; d 1.703, intensity 40, hkl 5 0 1; d 1.630, intensity 25, hkl 4 2 2; d 1.412, intensity 12, hkl 2 6 0; d 1.296, intensity 16, hkl 6 3 1; d 1.263, intensity 33, hkl 7 1 0; d 1.153, intensity 25, hkl 7 1 2

Crystal structure
Unit cell a=8.9294 b=8.9294 c=5.6468 alpha=90.00 beta=90.00 gamma=90.00
Space group I4/m (No. 87)
Unique sites:
Y 0.0000 0.0000 0.0000 x2
Ho 0.1002 0.3000 0.5000 x8
P 0.0000 0.0000 0.5000 x2
P 0.1004 0.3009 0.0000 x8



HoZnP2: computed X-ray powder pattern (Cu Kα, 1.54184 Å), based on a GGA-PBE-relaxed structure.
No peak broadening, texture or thermal motion is included.

The 12 most intense peaks (2θ = 10–90°), sorted by position:
d 7.482, intensity 39, hkl 0 0 3; d 3.741, intensity 22, hkl 0 0 6; d 3.368, intensity 100, hkl 0 1 2; d 2.989, intensity 38, hkl 1 0 4; d 2.775, intensity 22, hkl 0 1 5; d 2.197, intensity 30, hkl 0 1 8; d 2.039, intensity 33, hkl 1 1 0; d 1.894, intensity 26, hkl 1 0 10; d 1.790, intensity 17, hkl 1 1 6; d 1.744, intensity 15, hkl 2 0 2; d 1.378, intensity 14, hkl 1 1 12; d 1.325, intensity 12, hkl 1 2 2

Crystal structure
Unit cell a=4.0774 b=4.0774 c=22.4472 alpha=90.00 beta=90.00 gamma=120.00
Space group R-3m (No. 166, hexagonal axes)
Unique sites:
Ho 0.0000 0.0000 0.0000 x3
Zn 0.0000 0.0000 0.5000 x3
P 0.0000 0.0000 0.4012 x6